(1)
Simulated X-ray diffraction stick pattern of Ca3U3AlAs8 for a wavelength of 1.5418 Å, from the PBE geometry in Alexandria.

Main lines, low angle first (2θ from 10° to 90°):
hkl  2θ/deg  intensity
0 0 1  12.79  56
2 2 -1  25.71  23
4 0 0  30.72  100
4 0 1  39.76  16
4 0 -4  43.33  36
0 4 0  44.67  36
6 2 -1  46.65  15
8 0 -4  55.20  27
6 2 -6  71.67  15
8 4 -4  73.62  20

Structure:
abc: 14.050 8.119 8.357
angles: 90.00 124.06 90.00
Space group C2/m (No. 12)
Symmetry-distinct sites (fractional):
1 Ca 0.000 0.000 0.000 (multiplicity 2)
2 Ca 0.250 0.250 0.000 (multiplicity 4)
3 U 0.000 0.500 0.500 (multiplicity 2)
4 U 0.250 0.250 0.500 (multiplicity 4)
5 Al 0.000 0.000 0.500 (multiplicity 2)
6 As 0.009 0.247 0.280 (multiplicity 8)
7 As 0.237 0.000 0.719 (multiplicity 4)
8 As 0.244 0.500 0.733 (multiplicity 4)

---

(2)
Simulated X-ray diffraction stick pattern of ZnHPt2 for a wavelength of 1.5418 Å, from the PBE geometry in Alexandria.

Main lines, low angle first (2θ from 10° to 90°):
hkl  2θ/deg  intensity
1 0 0  18.99  31
1 0 1  23.61  54
0 1 2  34.07  47
1 1 1  36.16  75
2 0 1  41.15  100
0 0 3  42.58  36
1 1 2  43.99  29
0 2 2  48.31  58
2 1 0  51.76  30
2 1 3  69.19  23

Structure:
abc: 5.3959 5.3959 6.3697
angles: 90.00 90.00 120.00
Space group P3_121 (No. 152)
Symmetry-distinct sites (fractional):
1 Zn 0.0000 0.6548 0.1667 (multiplicity 3)
2 H 0.0000 0.8380 0.6667 (multiplicity 3)
3 Pt 0.1885 0.4465 0.8570 (multiplicity 6)

---

(3)
Simulated X-ray diffraction stick pattern of YHf2Pd8 for a wavelength of 1.5418 Å, from the PBE geometry in Alexandria.

Main lines, low angle first (2θ from 10° to 90°):
hkl  2θ/deg  intensity
2 0 0  12.79  14
1 1 2  37.92  100
5 1 -1  38.13  98
4 0 -3  42.59  34
0 2 0  44.13  34
6 0 1  45.80  28
4 2 -3  63.01  21
6 2 1  65.49  19
1 3 2  77.04  14
5 3 -1  77.17  12

Structure:
abc: 14.553 4.104 6.684
angles: 90.00 108.00 90.00
Space group C2/m (No. 12)
Symmetry-distinct sites (fractional):
1 Y 0.000 0.000 0.000 (multiplicity 2)
2 Hf 0.221 0.500 0.667 (multiplicity 4)
3 Pd 0.042 0.500 0.716 (multiplicity 4)
4 Pd 0.102 0.000 0.460 (multiplicity 4)
5 Pd 0.147 0.500 0.204 (multiplicity 4)
6 Pd 0.182 0.000 0.912 (multiplicity 4)

---

(4)
Simulated X-ray diffraction stick pattern of Pm7Ho2 for a wavelength of 1.5418 Å, from the PBE geometry in Alexandria.

Main lines, low angle first (2θ from 10° to 90°):
hkl  2θ/deg  intensity
1 1 1  30.23  100
2 -1 2  35.04  51
3 0 0  50.40  36
3 0 3  59.90  43
2 2 2  62.83  9
0 0 6  62.94  3
4 -2 4  74.04  6
4 1 1  81.98  13
1 1 7  82.10  4
5 -1 2  84.62  16

Structure:
abc: 6.2762 6.2762 8.8603
angles: 90.00 90.00 120.00
Space group P-31m (No. 162)
Symmetry-distinct sites (fractional):
1 Pm 0.0000 0.0000 0.0000 (multiplicity 1)
2 Pm 0.0000 0.3339 0.6692 (multiplicity 6)
3 Ho 0.3333 0.6667 0.0000 (multiplicity 2)